For Mn3P4O14, a structure optimized by DFT (GGA+U) gives the computed powder X-ray diffraction pattern in this record (Cu Kα (λ = 1.5418 Å)).
Lines closer than 0.1° are merged.

Atomic structure:
Unit cell a=6.0407 b=6.7258 c=7.7186 alpha=80.98 beta=73.63 gamma=75.88
Fractional positions:
Mn: 0.0000 0.0000 0.0000
Mn: 0.2333 0.4789 0.3280
Mn: 0.4887 0.9430 0.6718
P: 0.0398 0.7786 0.6398
P: 0.4725 0.1676 0.0167
P: 0.6113 0.7790 0.2649
P: 0.8822 0.1645 0.4120
O: 0.0410 0.9408 0.4629
O: 0.1786 0.5767 0.5612
O: 0.1804 0.8486 0.7540
O: 0.3097 0.3610 0.0991
O: 0.3467 0.0822 0.8991
O: 0.4745 0.0021 0.1938
O: 0.4887 0.6213 0.2264
O: 0.5673 0.7887 0.4698
O: 0.6306 0.1738 0.5362
O: 0.7176 0.1836 0.9101
O: 0.7891 0.7832 0.7516
O: 0.8726 0.7453 0.1682
O: 0.8957 0.1738 0.2145
O: 0.9987 0.3236 0.4562

Largest 6 diffraction maxima, low angle first, 2θ = 10–90°:
- 13.64°, 6.493 Å, rel. 90
- 19.05°, 4.659 Å, rel. 74
- 24.62°, 3.615 Å, rel. 100
- 26.65°, 3.344 Å, rel. 47
- 31.69°, 2.824 Å, rel. 47
- 33.10°, 2.706 Å, rel. 27


For MnPO4, a structure optimized by DFT (GGA+U) gives the computed powder X-ray diffraction pattern in this record (Cu Kα (λ = 1.5418 Å)).
Lines closer than 0.1° are merged.

Atomic structure:
Unit cell a=5.1340 b=5.1340 c=11.8410 alpha=90.00 beta=90.00 gamma=120.00
Fractional positions:
Mn: 0.0000 0.4473 0.1667
Mn: 0.4473 0.0000 0.8333
Mn: 0.5527 0.5527 0.5000
P: 0.0000 0.4398 0.6667
P: 0.4398 0.0000 0.3333
P: 0.5602 0.5602 0.0000
O: 0.1117 0.6698 0.7653
O: 0.1376 0.7384 0.2911
O: 0.2616 0.3992 0.6244
O: 0.3302 0.4418 0.0986
O: 0.3992 0.2616 0.3756
O: 0.4418 0.3302 0.9014
O: 0.5582 0.8883 0.4320
O: 0.6008 0.8624 0.9577
O: 0.6698 0.1117 0.2347
O: 0.7384 0.1376 0.7089
O: 0.8624 0.6008 0.0423
O: 0.8883 0.5582 0.5680

Largest 6 diffraction maxima, low angle first, 2θ = 10–90°:
- 19.97°, 4.446 Å, rel. 19
- 25.05°, 3.555 Å, rel. 100
- 36.46°, 2.464 Å, rel. 14
- 40.58°, 2.223 Å, rel. 10
- 46.86°, 1.939 Å, rel. 12
- 56.96°, 1.617 Å, rel. 10


For MnPO4, a structure optimized by DFT (GGA+U) gives the computed powder X-ray diffraction pattern in this record (Cu Kα (λ = 1.5418 Å)).
Lines closer than 0.1° are merged.

Atomic structure:
Unit cell a=9.4595 b=9.4595 c=15.6782 alpha=115.20 beta=115.20 gamma=30.44
Fractional positions:
Mn: 0.0000 0.5000 0.0000
Mn: 0.1202 0.6712 0.5264
Mn: 0.1574 0.8426 0.7500
Mn: 0.3288 0.8798 0.9736
Mn: 0.5000 0.0000 0.5000
Mn: 0.6712 0.1202 0.0264
Mn: 0.8426 0.1574 0.2500
Mn: 0.8798 0.3288 0.4736
P: 0.0213 0.5416 0.6363
P: 0.2754 0.6947 0.3811
P: 0.3053 0.7246 0.1189
P: 0.4584 0.9787 0.8637
P: 0.5416 0.0213 0.1363
P: 0.6947 0.2754 0.8811
P: 0.7246 0.3053 0.6189
P: 0.9787 0.4584 0.3637
O: 0.0700 0.8233 0.2883
O: 0.1031 0.4871 0.7338
O: 0.1099 0.7480 0.0536
O: 0.1255 0.6129 0.6311
O: 0.1469 0.2982 0.5543
O: 0.1767 0.9300 0.2117
O: 0.2007 0.3052 0.9006
O: 0.2222 0.6373 0.4287
O: 0.2520 0.8901 0.4464
O: 0.2982 0.1469 0.0543
O: 0.3052 0.2007 0.4006
O: 0.3627 0.7778 0.0713
O: 0.3871 0.8745 0.8689
O: 0.3940 0.5996 0.8604
O: 0.4004 0.6060 0.6396
O: 0.4871 0.1031 0.2338
O: 0.5129 0.8969 0.7662
O: 0.5996 0.3940 0.3604
O: 0.6060 0.4004 0.1396
O: 0.6129 0.1255 0.1311
O: 0.6373 0.2222 0.9287
O: 0.6948 0.7993 0.5994
O: 0.7018 0.8531 0.9457
O: 0.7480 0.1099 0.5536
O: 0.7778 0.3627 0.5713
O: 0.7993 0.6948 0.0994
O: 0.8233 0.0700 0.7883
O: 0.8531 0.7018 0.4457
O: 0.8745 0.3871 0.3689
O: 0.8901 0.2520 0.9464
O: 0.8969 0.5129 0.2662
O: 0.9300 0.1767 0.7117

Largest 6 diffraction maxima, low angle first, 2θ = 10–90°:
- 12.45°, 7.107 Å, rel. 100
- 12.58°, 7.034 Å, rel. 65
- 21.70°, 4.095 Å, rel. 50
- 26.84°, 3.322 Å, rel. 76
- 31.20°, 2.866 Å, rel. 54
- 35.22°, 2.548 Å, rel. 47


For MnPO4, a structure optimized by DFT (GGA+U) gives the computed powder X-ray diffraction pattern in this record (Cu Kα (λ = 1.5418 Å)).
Lines closer than 0.1° are merged.

Atomic structure:
Unit cell a=7.2969 b=5.4484 c=6.2266 alpha=77.05 beta=46.69 gamma=56.26
Fractional positions:
Mn: 0.0000 0.0000 0.0000
Mn: 0.2500 0.2500 0.2500
P: 0.3470 0.3470 0.6530
P: 0.5970 0.5970 0.9030
O: 0.1829 0.6955 0.6924
O: 0.2154 0.2653 0.9669
O: 0.2653 0.2154 0.5524
O: 0.2831 0.6976 0.0346
O: 0.5576 0.8207 0.0671
O: 0.6955 0.1829 0.4293
O: 0.6976 0.2831 0.9847
O: 0.8207 0.5576 0.5545

Largest 6 diffraction maxima, low angle first, 2θ = 10–90°:
- 20.29°, 4.376 Å, rel. 100
- 24.77°, 3.595 Å, rel. 91
- 30.50°, 2.931 Å, rel. 38
- 33.87°, 2.646 Å, rel. 89
- 36.34°, 2.472 Å, rel. 36
- 53.03°, 1.727 Å, rel. 34